(1)
Theoretical XRD peak list of ErMgAgSe2S for Cu Kα, from a DFT-relaxed cell (PBE, OQMD).
Intensities are scaled so that the largest is 100.

Principal peaks in the range 15 to 90 degrees two-theta, by angle:
2theta, d/Å, intensity, hkl
28.81, 3.099, 14.2, 0 2 3
29.42, 3.036, 38.8, 1 1 2
31.03, 2.882, 16.6, 1 3 0
33.87, 2.646, 18.0, 0 0 4
35.47, 2.531, 100.0, 1 3 2
36.68, 2.450, 20.5, 0 2 4
41.82, 2.160, 12.6, 0 6 0
44.19, 2.050, 14.3, 0 4 4
45.47, 1.995, 27.4, 1 5 2
46.98, 1.934, 17.8, 2 0 0
57.89, 1.593, 20.8, 1 1 6
79.69, 1.203, 10.8, 3 3 2

Structural model:
Cell lengths 3.8686, 12.9613, 10.5855 Å; angles 90.00, 90.00, 90.00 degrees
Space group Cmcm (No. 63)
Unique sites:
Er 0.0000 0.0000 0.0000 (multiplicity 4)
Mg 0.0000 0.2465 0.2500 (multiplicity 4)
Ag 0.0000 0.4848 0.7500 (multiplicity 4)
Se 0.0000 0.3501 0.5688 (multiplicity 8)
S 0.0000 0.1140 0.7500 (multiplicity 4)

(2)
Theoretical XRD peak list of Y3ReTe5 for Cu Kα, from a DFT-relaxed cell (PBE, OQMD).
Intensities are scaled so that the largest is 100.

Principal peaks in the range 15 to 90 degrees two-theta, by angle:
2theta, d/Å, intensity, hkl
20.39, 4.356, 24.6, 1 1 0
31.18, 2.868, 74.3, 1 1 1
31.37, 2.852, 42.1, 2 1 0
33.42, 2.681, 67.3, 2 0 1
35.70, 2.515, 60.7, 3 0 0
39.47, 2.283, 100.0, 2 1 1
47.73, 1.905, 21.1, 0 0 2
55.84, 1.646, 22.6, 4 1 0
58.58, 1.576, 29.3, 3 2 1
61.01, 1.519, 25.2, 3 0 2
61.34, 1.511, 17.3, 4 1 1
76.46, 1.246, 17.8, 4 1 2

Structural model:
Cell lengths 8.7115, 8.7115, 3.8109 Å; angles 90.00, 90.00, 120.00 degrees
Space group P-62m (No. 189)
Unique sites:
Y 0.0000 0.6412 0.0000 (multiplicity 3)
Re 0.0000 0.0000 0.0000 (multiplicity 1)
Te 0.0000 0.2251 0.5000 (multiplicity 3)
Te 0.3333 0.6667 0.5000 (multiplicity 2)

(3)
Theoretical XRD peak list of La2TbSn5Pb2 for Cu Kα, from a DFT-relaxed cell (PBE, OQMD).
Intensities are scaled so that the largest is 100.

Principal peaks in the range 15 to 90 degrees two-theta, by angle:
2theta, d/Å, intensity, hkl
30.80, 2.903, 4.4, 1 7 0
32.06, 2.792, 100.0, 1 5 1
34.47, 2.602, 15.2, 0 10 0
38.22, 2.355, 17.3, 0 0 2
38.74, 2.325, 16.7, 2 0 0
52.41, 1.746, 9.4, 0 10 2
52.81, 1.733, 9.2, 2 10 0
55.55, 1.654, 11.9, 2 0 2
60.24, 1.536, 8.1, 1 15 1
65.24, 1.430, 14.0, 1 5 3
65.95, 1.416, 13.0, 3 5 1
67.04, 1.396, 9.2, 2 10 2

Structural model:
Cell lengths 4.6491, 26.0176, 4.7097 Å; angles 90.00, 90.00, 90.00 degrees
Space group Cmmm (No. 65)
Unique sites:
La 0.0000 0.1821 0.0000 (multiplicity 4)
Tb 0.0000 0.0000 0.0000 (multiplicity 2)
Sn 0.0000 0.0917 0.5000 (multiplicity 4)
Sn 0.0000 0.4089 0.0000 (multiplicity 4)
Sn 0.0000 0.5000 0.5000 (multiplicity 2)
Pb 0.0000 0.2927 0.5000 (multiplicity 4)